Diffraction record for Ca2Ga3Ag17. The PXRD pattern is calculated, not measured: it uses a structure optimized by DFT (GGA-PBE) and copper Kα.
Lines closer than 0.1° are merged.

The 8 most intense peaks (2θ = 10–80°), by angle:
- hkl 1 0 1, 2θ 11.52, rel. 496
- hkl 1 1 0, 2θ 17.09, rel. 412
- hkl 2 2 0, 2θ 34.57, rel. 1000
- hkl 3 0 3, 2θ 35.04, rel. 402
- hkl 0 0 6, 2θ 36.42, rel. 558
- hkl 2 2 3, 2θ 39.23, rel. 814
- hkl 1 1 6, 2θ 40.47, rel. 650
- hkl 2 2 6, 2θ 51.08, rel. 377

Structure:
abc: 10.3778 10.3778 14.7990
angles: 90.00 90.00 120.00
Space group R-3m (No. 166, hexagonal axes)
Unique sites:
Ca 0.0000 0.0000 0.1695 [6 per cell]
Ga 0.0000 0.5000 0.5000 [9 per cell]
Ag 0.0000 0.0000 0.4003 [6 per cell]
Ag 0.0000 0.2612 0.5000 [18 per cell]
Ag 0.0000 0.5000 0.0000 [9 per cell]
Ag 0.0059 0.5030 0.6719 [18 per cell]